Record 1
The following is a simulated powder XRD pattern of Sc8S3O. It was derived from a crystal structure in Alexandria, relaxed with PBE, using copper Kα.

Most intense lines, 2θ = 10–90°, in order of falling intensity:
2θ (°)  Rel. int.
36.69  100
31.37  39
52.16  30
53.57  30
16.05  17
65.46  14
32.43  13
29.91  12

Structural model:
Lattice parameters (Å, degrees): 6.8475 6.8475 6.8475 61.62 61.62 61.62
Fractional positions:
Sc: 0.2189 0.7650 0.7650
Sc: 0.2350 0.2350 0.7811
Sc: 0.2350 0.7811 0.2350
Sc: 0.2457 0.2457 0.2457
Sc: 0.7543 0.7543 0.7543
Sc: 0.7650 0.2189 0.7650
Sc: 0.7650 0.7650 0.2189
Sc: 0.7811 0.2350 0.2350
S: 0.0000 0.5000 0.5000
S: 0.5000 0.0000 0.5000
S: 0.5000 0.5000 0.0000
O: 0.0000 0.0000 0.0000

---

Record 2
The following is a simulated powder XRD pattern of SeSO4. It was derived from a crystal structure in Alexandria, relaxed with PBE, using copper Kα.

Most intense lines, 2θ = 10–90°, in order of falling intensity:
2θ (°)  Rel. int.
23.92  100
13.45  99
13.89  74
23.14  63
19.56  54
27.89  37
37.43  36
39.97  23

Structural model:
Lattice parameters (Å, degrees): 7.5709 7.5709 5.0741 100.42 100.42 114.78
Fractional positions:
Se: 0.0526 0.9474 0.7500
Se: 0.9474 0.0526 0.2500
S: 0.3774 0.6226 0.7500
S: 0.6226 0.3774 0.2500
O: 0.1109 0.1748 0.6564
O: 0.1748 0.1109 0.1564
O: 0.2327 0.5960 0.4967
O: 0.4040 0.7673 0.0033
O: 0.5960 0.2327 0.9967
O: 0.7673 0.4040 0.5033
O: 0.8252 0.8891 0.8436
O: 0.8891 0.8252 0.3436

---

Record 3
The following is a simulated powder XRD pattern of SeS2O8. It was derived from a crystal structure in Alexandria, relaxed with PBE, using copper Kα.

Most intense lines, 2θ = 10–90°, in order of falling intensity:
2θ (°)  Rel. int.
14.95  100
25.45  28
24.63  27
27.78  16
34.48  15
32.36  13
48.50  12
36.98  8

Structural model:
Lattice parameters (Å, degrees): 6.3619 6.3619 4.6828 97.28 97.28 69.23
Fractional positions:
Se: 0.0000 0.0000 0.0000
S: 0.1853 0.1853 0.6557
S: 0.8147 0.8147 0.3443
O: 0.0515 0.7235 0.2317
O: 0.1597 0.1597 0.3280
O: 0.2765 0.9485 0.7683
O: 0.3213 0.3213 0.7505
O: 0.6787 0.6787 0.2495
O: 0.7235 0.0515 0.2317
O: 0.8403 0.8403 0.6720
O: 0.9485 0.2765 0.7683

---

Record 4
The following is a simulated powder XRD pattern of YSeS2O. It was derived from a crystal structure in Alexandria, relaxed with PBE, using copper Kα.

Most intense lines, 2θ = 10–90°, in order of falling intensity:
2θ (°)  Rel. int.
33.99  100
38.32  47
26.84  28
66.53  27
57.85  26
41.62  18
55.31  15
71.54  14

Structural model:
Lattice parameters (Å, degrees): 4.6978 4.6978 4.3396 90.00 90.00 90.00
Fractional positions:
Y: 0.0000 0.0000 0.0000
Se: 0.5000 0.5000 0.0000
S: 0.0000 0.5000 0.5000
S: 0.5000 0.0000 0.5000
O: 0.0000 0.0000 0.5000

---

Record 5
The following is a simulated powder XRD pattern of Sm2S3O12. It was derived from a crystal structure in Alexandria, relaxed with PBE, using copper Kα.

Most intense lines, 2θ = 10–90°, in order of falling intensity:
2θ (°)  Rel. int.
13.93  100
17.24  97
20.20  92
25.71  68
29.93  67
32.38  48
30.05  40
31.57  37

Structural model:
Lattice parameters (Å, degrees): 11.2679 11.2679 6.9326 106.22 106.22 34.52
Fractional positions:
Sm: 0.0123 0.7232 0.8661
Sm: 0.2768 0.9877 0.6339
Sm: 0.7232 0.0123 0.3661
Sm: 0.9877 0.2768 0.1339
S: 0.1347 0.4987 0.3191
S: 0.1644 0.8356 0.7500
S: 0.4987 0.1347 0.8191
S: 0.5013 0.8653 0.1809
S: 0.8356 0.1644 0.2500
S: 0.8653 0.5013 0.6809
O: 0.0197 0.6287 0.5046
O: 0.0232 0.0882 0.3603
O: 0.0354 0.6595 0.1929
O: 0.0882 0.0232 0.8603
O: 0.1014 0.3953 0.2106
O: 0.2600 0.6894 0.8885
O: 0.3106 0.7400 0.6115
O: 0.3405 0.9646 0.3071
O: 0.3459 0.3596 0.8689
O: 0.3596 0.3459 0.3689
O: 0.3713 0.9803 0.9954
O: 0.3953 0.1014 0.7106
O: 0.6047 0.8986 0.2894
O: 0.6287 0.0197 0.0046
O: 0.6404 0.6541 0.6311
O: 0.6541 0.6404 0.1311
O: 0.6595 0.0354 0.6929
O: 0.6894 0.2600 0.3885
O: 0.7400 0.3106 0.1115
O: 0.8986 0.6047 0.7894
O: 0.9118 0.9768 0.1397
O: 0.9646 0.3405 0.8071
O: 0.9768 0.9118 0.6397
O: 0.9803 0.3713 0.4954

---

Record 6
The following is a simulated powder XRD pattern of Sm5S4O. It was derived from a crystal structure in Alexandria, relaxed with PBE, using copper Kα.

Most intense lines, 2θ = 10–90°, in order of falling intensity:
2θ (°)  Rel. int.
27.77  100
32.13  86
46.13  79
32.26  33
54.65  33
57.36  25
85.41  16
76.44  14

Structural model:
Lattice parameters (Å, degrees): 14.1535 14.1535 14.1535 164.00 164.00 22.71
Fractional positions:
Sm: 0.0000 0.0000 0.0000
Sm: 0.2021 0.2021 0.0000
Sm: 0.4134 0.4134 0.0000
Sm: 0.5866 0.5866 0.0000
Sm: 0.7979 0.7979 0.0000
S: 0.0996 0.0996 0.0000
S: 0.3053 0.3053 0.0000
S: 0.6947 0.6947 0.0000
S: 0.9004 0.9004 0.0000
O: 0.5000 0.5000 0.0000

---

Record 7
The following is a simulated powder XRD pattern of Sm2Ta3S2O8. It was derived from a crystal structure in Alexandria, relaxed with PBE, using copper Kα.

Most intense lines, 2θ = 10–90°, in order of falling intensity:
2θ (°)  Rel. int.
28.07  100
29.51  74
48.03  34
30.67  28
15.17  27
23.53  26
54.25  24
31.95  23

Structural model:
Lattice parameters (Å, degrees): 9.9093 11.6791 3.7887 90.00 90.00 90.00
Fractional positions:
Sm: 0.2182 0.1559 0.0000
Sm: 0.2818 0.6559 0.0000
Sm: 0.7182 0.3441 0.0000
Sm: 0.7818 0.8441 0.0000
Ta: 0.0000 0.5000 0.5000
Ta: 0.1354 0.9159 0.5000
Ta: 0.3646 0.4159 0.5000
Ta: 0.5000 0.0000 0.5000
Ta: 0.6354 0.5841 0.5000
Ta: 0.8646 0.0841 0.5000
S: 0.0168 0.3524 0.0000
S: 0.4832 0.8524 0.0000
S: 0.5168 0.1476 0.0000
S: 0.9832 0.6476 0.0000
O: 0.0576 0.1071 0.5000
O: 0.1426 0.9535 0.0000
O: 0.1974 0.5266 0.5000
O: 0.2168 0.7726 0.5000
O: 0.2832 0.2726 0.5000
O: 0.3026 0.0266 0.5000
O: 0.3574 0.4535 0.0000
O: 0.4424 0.6071 0.5000
O: 0.5576 0.3929 0.5000
O: 0.6426 0.5465 0.0000
O: 0.6974 0.9734 0.5000
O: 0.7168 0.7274 0.5000
O: 0.7832 0.2274 0.5000
O: 0.8026 0.4734 0.5000
O: 0.8574 0.0465 0.0000
O: 0.9424 0.8929 0.5000

---

Record 8
The following is a simulated powder XRD pattern of SmYSO2. It was derived from a crystal structure in Alexandria, relaxed with PBE, using copper Kα.

Most intense lines, 2θ = 10–90°, in order of falling intensity:
2θ (°)  Rel. int.
32.20  100
58.51  44
33.07  38
24.37  37
44.87  26
56.85  24
14.61  23
47.47  22

Structural model:
Lattice parameters (Å, degrees): 6.6401 6.6401 6.6401 146.47 146.47 48.15
Fractional positions:
Sm: 0.0000 0.0000 0.0000
Y: 0.6950 0.6950 0.0000
S: 0.3496 0.3496 0.0000
O: 0.1019 0.6019 0.5000
O: 0.6019 0.1019 0.5000